Structure and computed X-ray diffraction stick pattern of TlHgTe3 (a crystal structure in Alexandria, relaxed with PBE; copper Kα).

Peak list (12 most intense, 2θ from 10° to 90°, low angle first)
| d [Å] | I (rel.) | index |
| --- | --- | --- |
| 4.287 | 64 | 1 0 4 |
| 3.823 | 62 | 0 0 6 |
| 3.726 | 56 | 1 1 0 |
| 3.350 | 60 | 1 1 3 |
| 2.812 | 89 | 0 2 4 |
| 2.620 | 69 | 0 1 8 |
| 2.426 | 29 | 2 1 1 |
| 2.245 | 100 | 2 1 4 |
| 2.152 | 59 | 3 0 0 |
| 1.701 | 28 | 1 1 12 |
| 1.518 | 24 | 3 1 8 |
| 1.409 | 30 | 4 1 0 |

abc: 7.4529 7.4529 22.9391
angles: 90.00 90.00 120.00
Space group R3c (No. 161, hexagonal axes)
Symmetry-distinct sites (fractional):
Tl1 0.0000 0.0000 0.0000 (multiplicity 6)
Hg1 0.0000 0.0000 0.2673 (multiplicity 6)
Te1 0.0967 0.4170 0.2951 (multiplicity 18)